No. 1
Calculated powder diffractogram
Compound: Rb2SrCeCl8
Radiation: Cu Kα, 1.54184 Å
Structure: a cell relaxed with GGA-PBE
Intensities are scaled so that the largest is 100.

Principal peaks in the range 15° ≤ 2θ ≤ 90°, in order of rising 2θ:
2θ/deg  intensity
17.18  100
17.84  67
23.50  69
33.71  33
34.36  86
42.11  38

Crystal structure
abc: 7.0120 8.9955 7.3305
angles: 90.00 92.14 90.00
Positions (direct):
Rb1 0.0000 0.2476 0.0000
Rb2 0.0000 0.7524 0.0000
Sr1 0.5000 0.0000 0.5000
Ce1 0.5000 0.5000 0.5000
Cl1 0.2594 0.0000 0.1889
Cl2 0.2887 0.5000 0.1997
Cl3 0.2912 0.2785 0.6310
Cl4 0.2912 0.7215 0.6310
Cl5 0.7088 0.2785 0.3690
Cl6 0.7088 0.7215 0.3690
Cl7 0.7113 0.5000 0.8003
Cl8 0.7406 0.0000 0.8111


No. 2
Calculated powder diffractogram
Compound: Na3U3PbSe8
Radiation: Cu Kα, 1.54184 Å
Structure: a cell relaxed with GGA-PBE
Intensities are scaled so that the largest is 100.

Principal peaks in the range 15° ≤ 2θ ≤ 90°, in order of rising 2θ:
2θ/deg  intensity
24.77  26
29.92  100
39.14  21
42.77  37
42.84  25
70.44  22

Crystal structure
abc: 8.4432 8.4432 8.4625
angles: 119.98 119.98 59.81
Positions (direct):
Na1 0.0000 0.0000 0.0000
Na2 0.0000 0.5000 0.0000
Na3 0.5000 0.0000 0.0000
U1 0.0000 0.5000 0.5000
U2 0.5000 0.0000 0.5000
U3 0.5000 0.5000 0.5000
Pb1 0.0000 0.0000 0.5000
Se1 0.2540 0.2540 0.7308
Se2 0.2543 0.7232 0.7319
Se3 0.2554 0.2554 0.2668
Se4 0.2768 0.7457 0.2681
Se5 0.7232 0.2543 0.7319
Se6 0.7446 0.7446 0.7332
Se7 0.7457 0.2768 0.2681
Se8 0.7460 0.7460 0.2692


No. 3
Calculated powder diffractogram
Compound: Hf5Cr
Radiation: Cu Kα, 1.54184 Å
Structure: a cell relaxed with GGA-PBE
Intensities are scaled so that the largest is 100.

Principal peaks in the range 15° ≤ 2θ ≤ 90°, in order of rising 2θ:
2θ/deg  intensity
35.38  100
40.98  33
41.29  16
59.58  22
70.97  13
71.45  13

Crystal structure
abc: 4.4090 13.1995 4.3735
angles: 90.00 90.00 90.00
Positions (direct):
Hf1 0.0000 0.0000 0.0000
Hf2 0.0000 0.1651 0.5000
Hf3 0.0000 0.3349 0.0000
Hf4 0.0000 0.6651 0.0000
Hf5 0.0000 0.8349 0.5000
Hf6 0.5000 0.1651 0.0000
Hf7 0.5000 0.3349 0.5000
Hf8 0.5000 0.5000 0.0000
Hf9 0.5000 0.6651 0.5000
Hf10 0.5000 0.8349 0.0000
Cr1 0.0000 0.5000 0.5000
Cr2 0.5000 0.0000 0.5000


No. 4
Calculated powder diffractogram
Compound: La2Nd4Er3
Radiation: Cu Kα, 1.54184 Å
Structure: a cell relaxed with GGA-PBE
Intensities are scaled so that the largest is 100.

Principal peaks in the range 15° ≤ 2θ ≤ 90°, in order of rising 2θ:
2θ/deg  intensity
30.03  100
30.10  33
34.66  23
49.97  24
50.21  24
59.57  24

Crystal structure
abc: 5.1466 6.3324 10.8782
angles: 73.35 76.36 66.06
Positions (direct):
La1 0.1664 0.3919 0.2751
La2 0.8336 0.6081 0.7249
Nd1 0.1662 0.0555 0.6123
Nd2 0.4981 0.1684 0.8354
Nd3 0.5019 0.8316 0.1646
Nd4 0.8338 0.9445 0.3877
Er1 0.1650 0.7242 0.9460
Er2 0.5000 0.5000 0.5000
Er3 0.8350 0.2758 0.0540


No. 5
Calculated powder diffractogram
Compound: ErThSbTe
Radiation: Cu Kα, 1.54184 Å
Structure: a cell relaxed with GGA-PBE
Intensities are scaled so that the largest is 100.

Principal peaks in the range 15° ≤ 2θ ≤ 90°, in order of rising 2θ:
2θ/deg  intensity
28.53  100
40.79  77
50.53  28
66.76  12
66.92  24
74.29  18

Crystal structure
abc: 4.4202 4.4202 6.2697
angles: 90.00 90.00 90.00
Positions (direct):
Er1 0.0000 0.0000 0.0000
Th1 0.5000 0.5000 0.5000
Sb1 0.5000 0.5000 0.0000
Te1 0.0000 0.0000 0.5000


No. 6
Calculated powder diffractogram
Compound: K3TeBr7
Radiation: Cu Kα, 1.54184 Å
Structure: a cell relaxed with GGA-PBE
Intensities are scaled so that the largest is 100.

Principal peaks in the range 15° ≤ 2θ ≤ 90°, in order of rising 2θ:
2θ/deg  intensity
18.29  70
24.95  89
29.00  100
29.73  95
31.41  45
38.61  74

Crystal structure
abc: 7.4872 7.4872 8.0564
angles: 100.95 100.95 92.52
Positions (direct):
K1 0.0000 0.0000 0.0000
K2 0.2674 0.7176 0.5338
K3 0.7176 0.2674 0.5338
Te1 0.4800 0.4800 0.0288
Br1 0.1429 0.5013 0.8344
Br2 0.3236 0.3236 0.2656
Br3 0.4456 0.8217 0.2122
Br4 0.5013 0.1429 0.8344
Br5 0.6420 0.6420 0.8134
Br6 0.8217 0.4456 0.2122
Br7 0.9281 0.9281 0.5936


No. 7
Calculated powder diffractogram
Compound: Dy6In2Rh
Radiation: Cu Kα, 1.54184 Å
Structure: a cell relaxed with GGA-PBE
Intensities are scaled so that the largest is 100.

Principal peaks in the range 15° ≤ 2θ ≤ 90°, in order of rising 2θ:
2θ/deg  intensity
31.29  100
31.53  68
33.55  67
35.88  41
39.63  35
58.86  33

Crystal structure
abc: 3.8020 8.6687 8.6687
angles: 119.98 90.00 90.00
Positions (direct):
Dy1 0.0000 0.0000 0.0000
Dy2 0.0000 0.5137 0.7566
Dy3 0.0000 0.7566 0.5137
Dy4 0.5000 0.1509 0.7569
Dy5 0.5000 0.3622 0.3622
Dy6 0.5000 0.7569 0.1509
In1 0.0000 0.0901 0.4236
In2 0.0000 0.4236 0.0901
Rh1 0.5000 0.7572 0.7572


No. 8
Calculated powder diffractogram
Compound: SrCa6Mg
Radiation: Cu Kα, 1.54184 Å
Structure: a cell relaxed with GGA-PBE
Intensities are scaled so that the largest is 100.

Principal peaks in the range 15° ≤ 2θ ≤ 90°, in order of rising 2θ:
2θ/deg  intensity
26.68  30
28.40  42
30.06  59
30.30  100
51.48  21
55.65  21

Crystal structure
abc: 6.2856 7.6911 13.4939
angles: 90.00 90.00 90.00
Positions (direct):
Sr1 0.0000 0.0000 0.0000
Sr2 0.0000 0.5000 0.5000
Ca1 0.0000 0.0000 0.4921
Ca2 0.0000 0.2478 0.2435
Ca3 0.0000 0.2522 0.7435
Ca4 0.0000 0.5000 0.9921
Ca5 0.0000 0.7478 0.7435
Ca6 0.0000 0.7522 0.2435
Ca7 0.5000 0.0000 0.6549
Ca8 0.5000 0.2463 0.4030
Ca9 0.5000 0.2537 0.9030
Ca10 0.5000 0.5000 0.1549
Ca11 0.5000 0.7463 0.9030
Ca12 0.5000 0.7537 0.4030
Mg1 0.5000 0.0000 0.1631
Mg2 0.5000 0.5000 0.6631


No. 9
Calculated powder diffractogram
Compound: TaCo8B4
Radiation: Cu Kα, 1.54184 Å
Structure: a cell relaxed with GGA-PBE
Intensities are scaled so that the largest is 100.

Principal peaks in the range 15° ≤ 2θ ≤ 90°, in order of rising 2θ:
2θ/deg  intensity
23.90  46
33.91  37
41.52  47
41.91  57
48.82  100
48.94  31

Crystal structure
abc: 5.6960 5.6960 5.6960
angles: 98.38 98.38 135.11
Positions (direct):
Ta1 0.0000 0.0000 0.0000
Co1 0.0000 0.3392 0.3392
Co2 0.0000 0.6607 0.6607
Co3 0.2771 0.5000 0.7771
Co4 0.3392 0.0000 0.3392
Co5 0.5000 0.2771 0.7771
Co6 0.5000 0.7229 0.2229
Co7 0.6607 0.0000 0.6607
Co8 0.7229 0.5000 0.2229
B1 0.0000 0.0000 0.5000
B2 0.0000 0.5000 0.0000
B3 0.5000 0.0000 0.0000
B4 0.5000 0.5000 0.5000


No. 10
Calculated powder diffractogram
Compound: Ac2SiSnO6
Radiation: Cu Kα, 1.54184 Å
Structure: a cell relaxed with GGA-PBE
Intensities are scaled so that the largest is 100.

Principal peaks in the range 15° ≤ 2θ ≤ 90°, in order of rising 2θ:
2θ/deg  intensity
17.60  25
28.73  100
32.08  38
46.00  20
48.69  26
55.14  33

Crystal structure
abc: 5.5806 5.5806 5.0403
angles: 90.00 90.00 90.00
Positions (direct):
Ac1 0.0000 0.5000 0.0000
Ac2 0.5000 0.0000 0.0000
Si1 0.0000 0.0000 0.5841
Sn1 0.5000 0.5000 0.5647
O1 0.0000 0.0000 0.2508
O2 0.2144 0.2144 0.6933
O3 0.2144 0.7856 0.6933
O4 0.5000 0.5000 0.9874
O5 0.7856 0.2144 0.6933
O6 0.7856 0.7856 0.6933


No. 11
Calculated powder diffractogram
Compound: Dy3CuGe2
Radiation: Cu Kα, 1.54184 Å
Structure: a cell relaxed with GGA-PBE
Intensities are scaled so that the largest is 100.

Principal peaks in the range 15° ≤ 2θ ≤ 90°, in order of rising 2θ:
2θ/deg  intensity
30.68  60
31.65  100
32.68  65
35.50  87
41.38  47
42.90  62

Crystal structure
abc: 11.3762 4.2162 11.4307
angles: 90.00 90.00 90.00
Positions (direct):
Dy1 0.0590 0.2500 0.1239
Dy2 0.1232 0.7500 0.5623
Dy3 0.2113 0.2500 0.8037
Dy4 0.2887 0.7500 0.3037
Dy5 0.3768 0.2500 0.0623
Dy6 0.4410 0.7500 0.6239
Dy7 0.5591 0.2500 0.3761
Dy8 0.6232 0.7500 0.9377
Dy9 0.7113 0.2500 0.6963
Dy10 0.7887 0.7500 0.1963
Dy11 0.8768 0.2500 0.4377
Dy12 0.9410 0.7500 0.8761
Cu1 0.1325 0.2500 0.3644
Cu2 0.3675 0.7500 0.8644
Cu3 0.6325 0.2500 0.1356
Cu4 0.8675 0.7500 0.6356
Ge1 0.0198 0.7500 0.3152
Ge2 0.1896 0.7500 0.9969
Ge3 0.3104 0.2500 0.4969
Ge4 0.4802 0.2500 0.8152
Ge5 0.5198 0.7500 0.1848
Ge6 0.6896 0.7500 0.5031
Ge7 0.8104 0.2500 0.0031
Ge8 0.9802 0.2500 0.6848


No. 12
Calculated powder diffractogram
Compound: Th8Tc3RhSe4
Radiation: Cu Kα, 1.54184 Å
Structure: a cell relaxed with GGA-PBE
Intensities are scaled so that the largest is 100.

Principal peaks in the range 15° ≤ 2θ ≤ 90°, in order of rising 2θ:
2θ/deg  intensity
26.31  24
29.85  100
41.35  35
44.07  37
54.14  19
72.29  16

Crystal structure
abc: 8.7695 8.7695 8.7695
angles: 55.89 55.89 55.89
Positions (direct):
Th1 0.2323 0.7414 0.7414
Th2 0.2391 0.2391 0.2391
Th3 0.2586 0.2586 0.7677
Th4 0.2586 0.7677 0.2586
Th5 0.7414 0.2323 0.7414
Th6 0.7414 0.7414 0.2323
Th7 0.7609 0.7609 0.7609
Th8 0.7677 0.2586 0.2586
Tc1 0.0000 0.0000 0.5000
Tc2 0.0000 0.5000 0.0000
Tc3 0.5000 0.0000 0.0000
Rh1 0.5000 0.5000 0.5000
Se1 0.0000 0.0000 0.0000
Se2 0.0000 0.5000 0.5000
Se3 0.5000 0.0000 0.5000
Se4 0.5000 0.5000 0.0000